The following is a computed powder X-ray diffraction pattern of YZnCuP2. It was derived from a crystal structure in the Materials Project, relaxed with PBE, using a wavelength of 1.5418 Å.

Atomic structure:
a b c (Å): 3.9853 3.9853 6.5516
angles (deg): 90.00 90.00 120.00
Space group P3m1 (No. 156)
Unique sites:
Y: 0.0000 0.0000 0.0000 [1 per cell]
Zn: 0.6667 0.3333 0.3909 [1 per cell]
Cu: 0.3333 0.6667 0.6543 [1 per cell]
P: 0.3333 0.6667 0.2710 [1 per cell]
P: 0.6667 0.3333 0.7604 [1 per cell]

Main lines, sorted by position (2θ = 10–90°):
| 2θ/deg | d [Å] | I (rel.) |
| --- | --- | --- |
| 29.25 | 3.054 | 100 |
| 37.87 | 2.376 | 71 |
| 41.34 | 2.184 | 13 |
| 45.52 | 1.993 | 59 |
| 49.38 | 1.845 | 19 |
| 55.03 | 1.669 | 16 |
| 60.65 | 1.527 | 17 |
| 63.16 | 1.472 | 21 |
| 74.11 | 1.279 | 13 |
| 79.00 | 1.212 | 15 |